Record 1
Computed PXRD pattern
Compound: Ba5Ca3
Radiation: Cu Ka
Structure: a cell relaxed with GGA-PBE
Intensities are scaled so that the largest is 100.

Crystal structure
```
data_Ba5Ca3
_cell_length_a 4.726
_cell_length_b 4.726
_cell_length_c 19.746
_cell_angle_alpha 90.00
_cell_angle_beta 90.00
_cell_angle_gamma 90.00
_space_group_name_H-M_alt 'P 4/m m m'
_space_group_IT_number 123
_space_group_name_Hall '-P 4 2'
loop_
_atom_site_label
_atom_site_type_symbol
_atom_site_fract_x
_atom_site_fract_y
_atom_site_fract_z
Ba1 Ba 0.000 0.000 0.000
Ba2 Ba 0.000 0.000 0.238
Ba3 Ba 0.500 0.500 0.381
Ca1 Ca 0.000 0.000 0.500
Ca2 Ca 0.500 0.500 0.118
```

Principal peaks in the range 15 to 90 degrees two-theta, sorted by position:
h k l, 2θ/deg, intensity
1 0 1, 19.3, 19
1 0 4, 26.1, 100
1 1 0, 26.7, 49
0 0 8, 36.4, 9
2 0 0, 38.1, 19
1 1 8, 45.7, 19
2 1 4, 46.8, 40
2 0 8, 53.7, 11
3 1 8, 74.2, 10
3 2 4, 75.0, 10


Record 2
Computed PXRD pattern
Compound: BaCa12
Radiation: Cu Ka
Structure: a cell relaxed with GGA-PBE
Intensities are scaled so that the largest is 100.

Crystal structure
```
data_BaCa12
_cell_length_a 12.831
_cell_length_b 12.831
_cell_length_c 7.239
_cell_angle_alpha 90.00
_cell_angle_beta 90.00
_cell_angle_gamma 90.00
_space_group_name_H-M_alt 'I 4/m m m'
_space_group_IT_number 139
_space_group_name_Hall '-I 4 2'
loop_
_atom_site_label
_atom_site_type_symbol
_atom_site_fract_x
_atom_site_fract_y
_atom_site_fract_z
Ba1 Ba 0.000 0.000 0.000
Ca1 Ca 0.000 0.218 0.500
Ca2 Ca 0.000 0.357 0.000
Ca3 Ca 0.250 0.250 0.250
```

Principal peaks in the range 15 to 90 degrees two-theta, sorted by position:
h k l, 2θ/deg, intensity
2 1 1, 19.7, 33
3 0 1, 24.2, 48
0 0 2, 24.6, 16
4 0 0, 27.8, 52
3 2 1, 27.9, 100
2 0 2, 28.3, 68
2 2 2, 31.6, 20
3 2 3, 45.4, 25
6 3 1, 49.3, 22
6 0 2, 49.5, 23


Record 3
Computed PXRD pattern
Compound: Ba2Ca
Radiation: Cu Ka
Structure: a cell relaxed with GGA-PBE
Intensities are scaled so that the largest is 100.

Crystal structure
Cell: 17.822 17.822 17.822 Å, 90.00 90.00 90.00°
Space group Fd-3m (No. 227, origin choice 2)
Unique sites:
1 Ba 0.000 0.000 0.000
2 Ba 0.068 0.375 0.875
3 Ca 0.044 0.044 0.206

Principal peaks in the range 15 to 90 degrees two-theta, sorted by position:
h k l, 2θ/deg, intensity
3 3 1, 21.7, 47
4 2 2, 24.5, 46
5 1 1, 26.0, 100
4 4 0, 28.3, 45
7 3 3, 41.5, 21
6 6 0, 43.1, 49
5 5 5, 44.0, 18
9 3 3, 51.0, 22
8 8 4, 62.5, 14
12 2 2, 64.5, 13


Record 4
Computed PXRD pattern
Compound: Ba5Ca2
Radiation: Cu Ka
Structure: a cell relaxed with GGA-PBE
Intensities are scaled so that the largest is 100.

Crystal structure
```
data_Ba5Ca2
_cell_length_a 4.850
_cell_length_b 4.850
_cell_length_c 33.852
_cell_angle_alpha 90.00
_cell_angle_beta 90.00
_cell_angle_gamma 90.00
_space_group_name_H-M_alt 'I 4/m m m'
_space_group_IT_number 139
_space_group_name_Hall '-I 4 2'
loop_
_atom_site_label
_atom_site_type_symbol
_atom_site_fract_x
_atom_site_fract_y
_atom_site_fract_z
Ba1 Ba 0.000 0.000 0.000
Ba2 Ba 0.000 0.000 0.156
Ba3 Ba 0.000 0.000 0.422
Ca1 Ca 0.000 0.000 0.278
```

Principal peaks in the range 15 to 90 degrees two-theta, sorted by position:
h k l, 2θ/deg, intensity
1 0 5, 22.6, 18
1 1 0, 26.0, 100
2 0 0, 37.1, 14
1 1 12, 41.4, 10
2 1 7, 45.9, 35
2 2 0, 53.5, 10
1 0 19, 54.9, 6
3 1 0, 60.4, 13
2 1 19, 68.1, 7
3 2 7, 73.0, 11


Record 5
Computed PXRD pattern
Compound: Ba3Ca5
Radiation: Cu Ka
Structure: a cell relaxed with GGA-PBE
Intensities are scaled so that the largest is 100.

Crystal structure
```
data_Ba3Ca5
_cell_length_a 5.890
_cell_length_b 5.890
_cell_length_c 11.467
_cell_angle_alpha 90.00
_cell_angle_beta 90.00
_cell_angle_gamma 90.00
_space_group_name_H-M_alt 'P 4 m m'
_space_group_IT_number 99
_space_group_name_Hall 'P 4 -2'
loop_
_atom_site_label
_atom_site_type_symbol
_atom_site_fract_x
_atom_site_fract_y
_atom_site_fract_z
Ba1 Ba 0.000 0.000 0.000
Ba2 Ba 0.000 0.500 0.281
Ca1 Ca 0.000 0.000 0.541
Ca2 Ca 0.000 0.500 0.758
Ca3 Ca 0.500 0.500 0.542
Ca4 Ca 0.500 0.500 0.996
```

Principal peaks in the range 15 to 90 degrees two-theta, sorted by position:
h k l, 2θ/deg, intensity
1 1 1, 22.7, 23
1 1 2, 26.4, 100
2 0 0, 30.3, 36
0 0 4, 31.2, 14
2 0 3, 38.6, 10
2 2 0, 43.5, 13
2 0 4, 44.1, 21
3 1 2, 51.6, 30
1 1 6, 52.7, 10
2 2 4, 54.5, 11


Record 6
Computed PXRD pattern
Compound: Ba3Ca
Radiation: Cu Ka
Structure: a cell relaxed with GGA-PBE
Intensities are scaled so that the largest is 100.

Crystal structure
```
data_Ba3Ca
_cell_length_a 9.719
_cell_length_b 9.719
_cell_length_c 9.719
_cell_angle_alpha 90.00
_cell_angle_beta 90.00
_cell_angle_gamma 90.00
_space_group_name_H-M_alt 'F m -3 m'
_space_group_IT_number 225
_space_group_name_Hall '-F 4 2 3'
loop_
_atom_site_label
_atom_site_type_symbol
_atom_site_fract_x
_atom_site_fract_y
_atom_site_fract_z
Ba1 Ba 0.000 0.000 0.000
Ba2 Ba 0.250 0.250 0.250
Ca1 Ca 0.000 0.000 0.500
```

Principal peaks in the range 15 to 90 degrees two-theta, sorted by position:
h k l, 2θ/deg, intensity
1 1 1, 15.8, 8
2 0 0, 18.3, 5
2 2 0, 25.9, 100
3 1 1, 30.5, 5
4 0 0, 37.0, 19
4 2 2, 45.7, 42
4 4 0, 53.3, 13
6 2 0, 60.2, 18
6 4 2, 72.8, 21
8 2 2, 84.6, 11


Record 7
Computed PXRD pattern
Compound: Ba5Ca3
Radiation: Cu Ka
Structure: a cell relaxed with GGA-PBE
Intensities are scaled so that the largest is 100.

Crystal structure
```
data_Ba5Ca3
_cell_length_a 7.571
_cell_length_b 21.934
_cell_length_c 21.770
_cell_angle_alpha 90.00
_cell_angle_beta 90.00
_cell_angle_gamma 90.00
_space_group_name_H-M_alt 'F m m 2'
_space_group_IT_number 42
_space_group_name_Hall 'F 2 -2'
loop_
_atom_site_label
_atom_site_type_symbol
_atom_site_fract_x
_atom_site_fract_y
_atom_site_fract_z
Ba1 Ba 0.000 0.099 0.000
Ba2 Ba 0.000 0.099 0.351
Ba3 Ba 0.000 0.175 0.774
Ba4 Ba 0.000 0.176 0.577
Ba5 Ba 0.250 0.000 0.176
Ca1 Ca 0.000 0.000 0.503
Ca2 Ca 0.000 0.000 0.849
Ca3 Ca 0.000 0.173 0.176
Ca4 Ca 0.250 0.250 0.425
```

Principal peaks in the range 15 to 90 degrees two-theta, sorted by position:
h k l, 2θ/deg, intensity
1 5 1, 23.8, 31
1 1 5, 23.9, 31
0 6 2, 25.7, 30
0 2 6, 25.9, 29
2 2 2, 26.2, 37
1 5 3, 26.5, 100
2 4 0, 28.7, 52
0 0 10, 41.5, 25
2 6 6, 42.5, 24
3 3 5, 43.2, 26


Record 8
Computed PXRD pattern
Compound: Ba4Ca
Radiation: Cu Ka
Structure: a cell relaxed with GGA-PBE
Intensities are scaled so that the largest is 100.

Crystal structure
```
data_Ba4Ca
_cell_length_a 8.394
_cell_length_b 11.733
_cell_length_c 6.794
_cell_angle_alpha 90.00
_cell_angle_beta 113.75
_cell_angle_gamma 90.00
_space_group_name_H-M_alt 'P 1 2/c 1'
_space_group_IT_number 13
_space_group_name_Hall '-P 2yc'
loop_
_atom_site_label
_atom_site_type_symbol
_atom_site_fract_x
_atom_site_fract_y
_atom_site_fract_z
Ba1 Ba 0.192 0.162 0.095
Ba2 Ba 0.229 0.405 0.612
Ca1 Ca 0.500 0.106 0.750
```

Principal peaks in the range 15 to 90 degrees two-theta, sorted by position:
h k l, 2θ/deg, intensity
1 2 -1, 20.8, 51
2 0 0, 23.2, 26
1 0 -2, 26.2, 37
1 2 1, 26.6, 100
1 3 -1, 26.9, 17
0 4 0, 30.5, 12
3 0 0, 35.0, 13
3 0 -2, 35.3, 18
3 2 1, 46.1, 16
0 2 3, 46.5, 21


Record 9
Computed PXRD pattern
Compound: Ba5Ca7
Radiation: Cu Ka
Structure: a cell relaxed with GGA-PBE
Intensities are scaled so that the largest is 100.

Crystal structure
```
data_Ba5Ca7
_cell_length_a 4.182
_cell_length_b 12.585
_cell_length_c 11.450
_cell_angle_alpha 90.00
_cell_angle_beta 90.00
_cell_angle_gamma 90.00
_space_group_name_H-M_alt 'P m m 2'
_space_group_IT_number 25
_space_group_name_Hall 'P 2 -2'
loop_
_atom_site_label
_atom_site_type_symbol
_atom_site_fract_x
_atom_site_fract_y
_atom_site_fract_z
Ba1 Ba 0.000 0.000 0.000
Ba2 Ba 0.000 0.338 0.527
Ba3 Ba 0.500 0.170 0.269
Ca1 Ca 0.000 0.000 0.545
Ca2 Ca 0.000 0.339 0.008
Ca3 Ca 0.500 0.173 0.771
Ca4 Ca 0.500 0.500 0.246
Ca5 Ca 0.500 0.500 0.787
```

Principal peaks in the range 15 to 90 degrees two-theta, sorted by position:
h k l, 2θ/deg, intensity
0 2 1, 16.1, 8
1 0 1, 22.6, 9
1 0 2, 26.4, 100
1 3 0, 30.2, 36
0 0 4, 31.2, 17
0 6 0, 43.1, 9
1 3 4, 44.0, 23
2 3 2, 51.3, 30
1 0 6, 52.7, 12
2 3 6, 70.4, 9


Record 10
Computed PXRD pattern
Compound: BaCa11
Radiation: Cu Ka
Structure: a cell relaxed with GGA-PBE
Intensities are scaled so that the largest is 100.

Crystal structure
```
data_BaCa11
_cell_length_a 12.6029
_cell_length_b 12.6029
_cell_length_c 3.8427
_cell_angle_alpha 90.00
_cell_angle_beta 90.00
_cell_angle_gamma 120.00
_space_group_name_H-M_alt 'P 6/m m m'
_space_group_IT_number 191
_space_group_name_Hall '-P 6 2'
loop_
_atom_site_label
_atom_site_type_symbol
_atom_site_fract_x
_atom_site_fract_y
_atom_site_fract_z
Ba1 Ba 0.0000 0.0000 0.0000
Ca1 Ca 0.0000 0.5000 0.0000
Ca2 Ca 0.1773 0.3545 0.5000
Ca3 Ca 0.3333 0.6667 0.0000
```

Principal peaks in the range 15 to 90 degrees two-theta, sorted by position:
h k l, 2θ/deg, intensity
2 1 0, 21.5, 11
1 1 1, 27.2, 25
2 2 0, 28.4, 100
3 0 1, 33.9, 15
4 0 1, 40.5, 14
4 1 1, 44.8, 12
6 0 0, 50.2, 24
2 2 2, 56.1, 15
6 0 2, 71.4, 6
8 2 0, 80.7, 7


Record 11
Computed PXRD pattern
Compound: Ba3Ca
Radiation: Cu Ka
Structure: a cell relaxed with GGA-PBE
Intensities are scaled so that the largest is 100.

Crystal structure
```
data_Ba3Ca
_cell_length_a 4.897
_cell_length_b 4.897
_cell_length_c 9.624
_cell_angle_alpha 90.00
_cell_angle_beta 90.00
_cell_angle_gamma 90.00
_space_group_name_H-M_alt 'P 4/m m m'
_space_group_IT_number 123
_space_group_name_Hall '-P 4 2'
loop_
_atom_site_label
_atom_site_type_symbol
_atom_site_fract_x
_atom_site_fract_y
_atom_site_fract_z
Ba1 Ba 0.000 0.000 0.000
Ba2 Ba 0.500 0.500 0.267
Ca1 Ca 0.000 0.000 0.500
```

Principal peaks in the range 15 to 90 degrees two-theta, sorted by position:
h k l, 2θ/deg, intensity
1 0 1, 20.3, 13
1 1 0, 25.7, 53
1 0 2, 26.0, 100
2 0 0, 36.7, 20
2 1 2, 45.5, 43
1 1 4, 45.9, 19
2 0 4, 53.4, 12
3 1 0, 59.7, 10
3 2 2, 72.3, 11
3 1 4, 72.6, 10


Record 12
Computed PXRD pattern
Compound: BaCa3Cd
Radiation: Cu Ka
Structure: a cell relaxed with GGA-PBE
Intensities are scaled so that the largest is 100.

Crystal structure
```
data_BaCa3Cd
_cell_length_a 8.586
_cell_length_b 12.244
_cell_length_c 8.624
_cell_angle_alpha 90.00
_cell_angle_beta 90.00
_cell_angle_gamma 90.00
_space_group_name_H-M_alt 'I m m a'
_space_group_IT_number 74
_space_group_name_Hall '-I 2b 2'
loop_
_atom_site_label
_atom_site_type_symbol
_atom_site_fract_x
_atom_site_fract_y
_atom_site_fract_z
Ba1 Ba 0.000 0.250 0.043
Ca1 Ca 0.000 0.250 0.537
Ca2 Ca 0.250 0.018 0.750
Cd1 Cd 0.000 0.000 0.500
```

Principal peaks in the range 15 to 90 degrees two-theta, sorted by position:
h k l, 2θ/deg, intensity
1 2 1, 20.6, 100
2 0 0, 20.7, 21
1 1 2, 24.2, 13
2 2 0, 25.3, 23
0 4 0, 29.2, 30
2 0 2, 29.4, 54
2 4 0, 36.0, 36
3 2 1, 36.2, 20
2 4 2, 41.9, 44
1 1 4, 43.9, 11


Record 13
Computed PXRD pattern
Compound: BaCaCd2
Radiation: Cu Ka
Structure: a cell relaxed with GGA-PBE
Intensities are scaled so that the largest is 100.

Crystal structure
```
data_BaCaCd2
_cell_length_a 7.837
_cell_length_b 7.860
_cell_length_c 7.896
_cell_angle_alpha 90.00
_cell_angle_beta 90.00
_cell_angle_gamma 90.00
_space_group_name_H-M_alt 'F 2 2 2'
_space_group_IT_number 22
_space_group_name_Hall 'F 2 2'
loop_
_atom_site_label
_atom_site_type_symbol
_atom_site_fract_x
_atom_site_fract_y
_atom_site_fract_z
Ba1 Ba 0.000 0.000 0.000
Ca1 Ca 0.250 0.250 0.750
Cd1 Cd 0.000 0.000 0.500
Cd2 Cd 0.250 0.250 0.250
```

Principal peaks in the range 15 to 90 degrees two-theta, sorted by position:
h k l, 2θ/deg, intensity
1 1 1, 19.6, 11
2 0 2, 32.2, 100
2 2 0, 32.3, 50
0 0 4, 46.0, 9
0 4 0, 46.2, 9
4 0 0, 46.3, 9
2 2 4, 57.3, 18
4 2 2, 57.5, 36
2 0 6, 76.3, 8
2 6 0, 76.7, 8


Record 14
Computed PXRD pattern
Compound: Ba6CaCd5
Radiation: Cu Ka
Structure: a cell relaxed with GGA-PBE
Intensities are scaled so that the largest is 100.

Crystal structure
```
data_Ba6CaCd5
_cell_length_a 6.075
_cell_length_b 8.722
_cell_length_c 18.237
_cell_angle_alpha 90.00
_cell_angle_beta 90.00
_cell_angle_gamma 90.00
_space_group_name_H-M_alt 'I m m m'
_space_group_IT_number 71
_space_group_name_Hall '-I 2 2'
loop_
_atom_site_label
_atom_site_type_symbol
_atom_site_fract_x
_atom_site_fract_y
_atom_site_fract_z
Ba1 Ba 0.000 0.227 0.000
Ba2 Ba 0.000 0.261 0.326
Ca1 Ca 0.000 0.000 0.500
Cd1 Cd 0.000 0.000 0.168
Cd2 Cd 0.000 0.500 0.150
Cd3 Cd 0.000 0.500 0.500
```

Principal peaks in the range 15 to 90 degrees two-theta, sorted by position:
h k l, 2θ/deg, intensity
1 2 3, 29.2, 100
2 0 0, 29.4, 49
0 4 0, 41.4, 9
2 0 6, 42.1, 17
2 4 0, 51.6, 18
3 2 3, 52.0, 35
2 4 6, 60.5, 11
1 6 3, 68.1, 7
3 2 9, 69.0, 10
3 6 3, 83.4, 7